# 1
# ThH4
Calculated X-ray powder pattern, copper Kα. Input: a crystal structure in Alexandria, relaxed with PBE.

Main lines, low angle first (2θ from 5° to 70°):
2θ (°)  I (rel.)
24.10  51
28.60  100
31.91  76
42.89  35
48.48  26
49.80  24
54.85  34
57.26  15
59.21  14
65.61  10

Crystal structure
a = 4.2820 Å, b = 4.2820 Å, c = 4.2820 Å
α = 52.02°, β = 52.02°, γ = 52.02°
Positions (direct):
Th  0.0000  0.0000  0.0000
H  0.2151  0.2151  0.2151
H  0.3994  0.3994  0.3994
H  0.6006  0.6006  0.6006
H  0.7849  0.7849  0.7849

---

# 2
# ThTiH4
Calculated X-ray powder pattern, copper Kα. Input: a crystal structure in Alexandria, relaxed with PBE.

Main lines, low angle first (2θ from 5° to 70°):
2θ (°)  I (rel.)
19.79  62
31.54  100
34.62  54
40.17  23
40.29  12
49.76  27
54.11  28
60.10  32
65.83  18
67.80  11

Crystal structure
a = 5.7865 Å, b = 5.7865 Å, c = 5.7865 Å
α = 126.77°, β = 126.77°, γ = 78.63°
Positions (direct):
Th  0.3750  0.6250  0.7500
Th  0.6250  0.3750  0.2500
Ti  0.1250  0.8750  0.2500
Ti  0.8750  0.1250  0.7500
H  0.0000  0.1983  0.1983
H  0.0000  0.8017  0.8017
H  0.1983  0.0000  0.6983
H  0.1983  0.5000  0.1983
H  0.5000  0.1983  0.6983
H  0.5000  0.8017  0.3017
H  0.8017  0.0000  0.3017
H  0.8017  0.5000  0.8017

---

# 3
# Th2Tl2H
Calculated X-ray powder pattern, copper Kα. Input: a crystal structure in Alexandria, relaxed with PBE.

Main lines, low angle first (2θ from 5° to 70°):
2θ (°)  I (rel.)
19.49  24
28.01  80
29.12  42
32.24  100
33.65  43
36.86  88
38.11  53
44.43  26
59.92  38
65.23  25

Crystal structure
a = 8.9000 Å, b = 8.9000 Å, c = 6.5667 Å
α = 90.00°, β = 90.00°, γ = 149.23°
Positions (direct):
Th  0.0837  0.9163  0.5000
Th  0.3360  0.6640  0.4022
Th  0.6640  0.3360  0.9022
Th  0.9163  0.0837  0.0000
Tl  0.2955  0.7045  0.8962
Tl  0.4838  0.5162  0.7123
Tl  0.5162  0.4838  0.2123
Tl  0.7045  0.2955  0.3962
H  0.1304  0.8696  0.8330
H  0.8696  0.1304  0.3330